1.
This entry pairs a crystal structure of SrCrPd with its computed PXRD pattern. Radiation: Cu Kα X-rays. Structure: a GGA-PBE-relaxed structure.

Crystal structure
Unit cell a=3.9826 b=5.9620 c=6.0930 alpha=82.01 beta=71.80 gamma=85.84
Atoms (fractional coordinates):
Sr 0.0000 0.0000 0.0000
Sr 0.3751 0.4667 0.2117
Cr 0.0676 0.5391 0.7333
Cr 0.7278 0.7042 0.6340
Pd 0.2800 0.9527 0.4598
Pd 0.6704 0.2510 0.6140

Most intense lines, 2θ from 5° to 70°, by angle:
15.42 deg, intensity 89; 32.07 deg, intensity 81; 32.36 deg, intensity 69; 32.93 deg, intensity 100; 34.29 deg, intensity 78; 35.06 deg, intensity 65; 36.43 deg, intensity 93; 38.10 deg, intensity 92; 41.07 deg, intensity 75; 45.70 deg, intensity 67

2.
This entry pairs a crystal structure of YBe17Ni with its computed PXRD pattern. Radiation: Cu Kα X-rays. Structure: a GGA-PBE-relaxed structure.

Crystal structure
Unit cell a=5.6574 b=5.6574 c=5.6574 alpha=83.10 beta=83.10 gamma=83.10
Atoms (fractional coordinates):
Y 0.0000 0.0000 0.0000
Be 0.0035 0.0035 0.4946
Be 0.0035 0.4946 0.0035
Be 0.1492 0.6638 0.6638
Be 0.3164 0.3164 0.7836
Be 0.3164 0.7836 0.3164
Be 0.3661 0.6463 0.9537
Be 0.3661 0.9537 0.6463
Be 0.4946 0.0035 0.0035
Be 0.5563 0.5563 0.5563
Be 0.6463 0.3661 0.9537
Be 0.6463 0.9537 0.3661
Be 0.6638 0.1492 0.6638
Be 0.6638 0.6638 0.1492
Be 0.7503 0.7503 0.7503
Be 0.7836 0.3164 0.3164
Be 0.9537 0.3661 0.6463
Be 0.9537 0.6463 0.3661
Ni 0.3445 0.3445 0.3445

Most intense lines, 2θ from 5° to 70°, by angle:
15.87 deg, intensity 47; 21.26 deg, intensity 51; 23.71 deg, intensity 96; 24.47 deg, intensity 31; 32.06 deg, intensity 21; 34.33 deg, intensity 100; 40.26 deg, intensity 22; 41.69 deg, intensity 39; 48.52 deg, intensity 33; 48.93 deg, intensity 59

3.
This entry pairs a crystal structure of Mg3Ga2Ag2 with its computed PXRD pattern. Radiation: Cu Kα X-rays. Structure: a GGA-PBE-relaxed structure.

Crystal structure
Unit cell a=9.6182 b=9.6182 c=9.6182 alpha=160.56 beta=153.14 gamma=33.37
Atoms (fractional coordinates):
Mg 0.0000 0.0000 0.0000
Mg 0.2985 0.7985 0.5000
Mg 0.7015 0.2015 0.5000
Ga 0.4313 0.4313 0.0000
Ga 0.5687 0.5687 0.0000
Ag 0.1443 0.6443 0.5000
Ag 0.8557 0.3557 0.5000

Most intense lines, 2θ from 5° to 70°, by angle:
19.27 deg, intensity 52; 24.64 deg, intensity 59; 27.90 deg, intensity 72; 35.54 deg, intensity 67; 39.49 deg, intensity 36; 39.74 deg, intensity 100; 40.38 deg, intensity 50; 45.43 deg, intensity 48; 49.79 deg, intensity 28; 52.86 deg, intensity 29

4.
This entry pairs a crystal structure of Na2GeSbS4 with its computed PXRD pattern. Radiation: Cu Kα X-rays. Structure: a GGA-PBE-relaxed structure.

Crystal structure
Unit cell a=6.3602 b=6.3602 c=6.3602 alpha=108.52 beta=108.52 gamma=111.40
Atoms (fractional coordinates):
Na 0.0000 0.0000 0.0000
Na 0.7500 0.2500 0.5000
Ge 0.5000 0.5000 0.0000
Sb 0.2500 0.7500 0.5000
S 0.1446 0.1386 0.6560
S 0.4826 0.4886 0.3440
S 0.5114 0.8554 0.9940
S 0.8614 0.5174 0.0060

Most intense lines, 2θ from 5° to 70°, by angle:
17.19 deg, intensity 100; 23.95 deg, intensity 41; 29.63 deg, intensity 62; 30.18 deg, intensity 91; 34.13 deg, intensity 48; 45.81 deg, intensity 17; 46.20 deg, intensity 80; 46.83 deg, intensity 16; 55.29 deg, intensity 21; 57.06 deg, intensity 16

5.
This entry pairs a crystal structure of Hg2Pb2I7 with its computed PXRD pattern. Radiation: Cu Kα X-rays. Structure: a GGA-PBE-relaxed structure.

Crystal structure
Unit cell a=8.3636 b=8.3636 c=8.3622 alpha=97.68 beta=97.68 gamma=102.25
Atoms (fractional coordinates):
Hg 0.2307 0.2307 0.3719
Hg 0.7693 0.7693 0.6281
Pb 0.3190 0.6810 0.0000
Pb 0.6810 0.3190 0.0000
I 0.0000 0.0000 0.5000
I 0.0857 0.4768 0.2304
I 0.3781 0.3781 0.7704
I 0.4768 0.0857 0.2304
I 0.5232 0.9143 0.7696
I 0.6219 0.6219 0.2296
I 0.9143 0.5232 0.7696

Most intense lines, 2θ from 5° to 70°, by angle:
16.69 deg, intensity 95; 17.42 deg, intensity 100; 24.81 deg, intensity 39; 26.92 deg, intensity 45; 32.61 deg, intensity 71; 36.60 deg, intensity 51; 36.86 deg, intensity 42; 37.10 deg, intensity 40; 37.85 deg, intensity 40; 38.41 deg, intensity 51

6.
This entry pairs a crystal structure of Sm15HoIn4 with its computed PXRD pattern. Radiation: Cu Kα X-rays. Structure: a GGA-PBE-relaxed structure.

Crystal structure
Unit cell a=4.9379 b=4.9379 c=25.1254 alpha=90.00 beta=90.00 gamma=90.00
Atoms (fractional coordinates):
Sm 0.0000 0.0000 0.0000
Sm 0.0000 0.0000 0.2039
Sm 0.0000 0.0000 0.4015
Sm 0.0000 0.0000 0.5985
Sm 0.0000 0.0000 0.7961
Sm 0.0000 0.5000 0.1047
Sm 0.0000 0.5000 0.3026
Sm 0.0000 0.5000 0.5000
Sm 0.0000 0.5000 0.6974
Sm 0.0000 0.5000 0.8953
Sm 0.5000 0.0000 0.1047
Sm 0.5000 0.0000 0.3026
Sm 0.5000 0.0000 0.5000
Sm 0.5000 0.0000 0.6974
Sm 0.5000 0.0000 0.8953
Ho 0.5000 0.5000 0.0000
In 0.5000 0.5000 0.2054
In 0.5000 0.5000 0.4015
In 0.5000 0.5000 0.5985
In 0.5000 0.5000 0.7946

Most intense lines, 2θ from 5° to 70°, by angle:
29.26 deg, intensity 1; 31.19 deg, intensity 100; 35.74 deg, intensity 17; 36.39 deg, intensity 33; 51.92 deg, intensity 23; 52.41 deg, intensity 12; 57.76 deg, intensity 1; 61.39 deg, intensity 13; 62.26 deg, intensity 28; 65.06 deg, intensity 12